Record 1
Calculated X-ray powder pattern
Compound: BeTe
Radiation: copper Kα
Structure: a GGA-PBE-relaxed structure
Kinematic intensities with the Lorentz-polarization factor, no thermal factor.

Main lines, in order of rising 2θ (10 to 90 degrees two-theta):
2θ = 16.2°, rel. 49
2θ = 24.4°, rel. 88
2θ = 27.4°, rel. 57
2θ = 27.7°, rel. 100
2θ = 29.1°, rel. 56
2θ = 35.3°, rel. 24
2θ = 38.6°, rel. 31
2θ = 45.3°, rel. 37
2θ = 45.6°, rel. 27
2θ = 50.5°, rel. 24

Structure:
abc: 7.2902 6.6804 6.5692
angles: 66.76 57.35 55.89
Element x y z (fractional)
Be (0.0064, 0.7436, 0.0064)
Be (0.2564, 0.9936, 0.2564)
Be (0.7436, 0.0064, 0.7436)
Be (0.9936, 0.2564, 0.9936)
Te (0.0729, 0.0729, 0.6771)
Te (0.3229, 0.3229, 0.9271)
Te (0.6771, 0.6771, 0.0729)
Te (0.9271, 0.9271, 0.3229)

***

Record 2
Calculated X-ray powder pattern
Compound: RbZnInAs2
Radiation: copper Kα
Structure: a GGA-PBE-relaxed structure
Kinematic intensities with the Lorentz-polarization factor, no thermal factor.

Main lines, in order of rising 2θ (10 to 90 degrees two-theta):
2θ = 23.6°, rel. 66
2θ = 25.8°, rel. 38
2θ = 28.0°, rel. 40
2θ = 28.2°, rel. 97
2θ = 33.8°, rel. 100
2θ = 34.5°, rel. 50
2θ = 35.2°, rel. 53
2θ = 41.5°, rel. 73
2θ = 45.0°, rel. 46
2θ = 51.9°, rel. 41

Structure:
abc: 7.3227 7.3227 10.0626
angles: 98.42 98.42 34.54
Element x y z (fractional)
Rb (0.1608, 0.1608, 0.1683)
Rb (0.8392, 0.8392, 0.8317)
Zn (0.1739, 0.1739, 0.5760)
Zn (0.8261, 0.8261, 0.4240)
In (0.4558, 0.4558, 0.3134)
In (0.5442, 0.5442, 0.6866)
As (0.1252, 0.1252, 0.8124)
As (0.3621, 0.3621, 0.5568)
As (0.6379, 0.6379, 0.4432)
As (0.8748, 0.8748, 0.1876)

***

Record 3
Calculated X-ray powder pattern
Compound: ZrSc3Al
Radiation: copper Kα
Structure: a GGA-PBE-relaxed structure
Kinematic intensities with the Lorentz-polarization factor, no thermal factor.

Main lines, in order of rising 2θ (10 to 90 degrees two-theta):
2θ = 27.9°, rel. 72
2θ = 32.1°, rel. 66
2θ = 32.8°, rel. 37
2θ = 33.2°, rel. 55
2θ = 33.7°, rel. 100
2θ = 35.0°, rel. 46
2θ = 36.8°, rel. 71
2θ = 37.5°, rel. 78
2θ = 37.7°, rel. 35
2θ = 38.2°, rel. 90

Structure:
abc: 5.6546 8.1878 5.4052
angles: 90.00 115.12 90.00
Element x y z (fractional)
Zr (0.0000, 0.2243, 0.2500)
Zr (0.0000, 0.7757, 0.7500)
Sc (0.2987, 0.1268, 0.8799)
Sc (0.2987, 0.8732, 0.3799)
Sc (0.5000, 0.4394, 0.2500)
Sc (0.5000, 0.5606, 0.7500)
Sc (0.7013, 0.1268, 0.6201)
Sc (0.7013, 0.8732, 0.1201)
Al (0.0000, 0.4236, 0.7500)
Al (0.0000, 0.5764, 0.2500)

***

Record 4
Calculated X-ray powder pattern
Compound: Tb4Sm15Y
Radiation: copper Kα
Structure: a GGA-PBE-relaxed structure
Kinematic intensities with the Lorentz-polarization factor, no thermal factor.

Main lines, in order of rising 2θ (10 to 90 degrees two-theta):
2θ = 30.3°, rel. 100
2θ = 35.1°, rel. 51
2θ = 50.5°, rel. 36
2θ = 60.1°, rel. 43
2θ = 63.0°, rel. 12
2θ = 82.2°, rel. 6
2θ = 82.3°, rel. 12
2θ = 84.8°, rel. 5
2θ = 84.8°, rel. 5
2θ = 85.0°, rel. 5

Structure:
abc: 5.1127 5.1127 25.5152
angles: 90.00 90.00 90.00
Element x y z (fractional)
Tb (0.0000, 0.0000, 0.1000)
Tb (0.0000, 0.0000, 0.2999)
Tb (0.0000, 0.0000, 0.7001)
Tb (0.0000, 0.0000, 0.9000)
Sm (0.0000, 0.5000, 0.0000)
Sm (0.0000, 0.5000, 0.1999)
Sm (0.0000, 0.5000, 0.3997)
Sm (0.0000, 0.5000, 0.6003)
Sm (0.0000, 0.5000, 0.8001)
Sm (0.5000, 0.0000, 0.0000)
Sm (0.5000, 0.0000, 0.1999)
Sm (0.5000, 0.0000, 0.3997)
Sm (0.5000, 0.0000, 0.6003)
Sm (0.5000, 0.0000, 0.8001)
Sm (0.5000, 0.5000, 0.0999)
Sm (0.5000, 0.5000, 0.2999)
Sm (0.5000, 0.5000, 0.5000)
Sm (0.5000, 0.5000, 0.7001)
Sm (0.5000, 0.5000, 0.9001)
Y (0.0000, 0.0000, 0.5000)